Record 1
This entry pairs a crystal structure of Sm2Er2Al with its computed powder X-ray diffraction pattern. Radiation: Cu Ka. Structure: the PBE geometry in Alexandria.

Top 12 peaks for 10 to 80 degrees two-theta, low angle first:
d (Å)  two_theta  Rel. int.
8.514  10.4  54
4.211  21.1  100
2.774  32.3  95
2.557  35.1  66
2.465  36.4  88
2.128  42.5  17
1.843  49.5  29
1.775  51.5  22
1.611  57.2  16
1.476  63.0  28
1.440  64.7  23
1.401  66.8  25

Atomic structure:
Lattice parameters (Å, degrees): 4.9304 4.9304 25.5418 90.00 90.00 120.00
Space group R-3m (No. 166, hexagonal axes)
Asymmetric unit:
Sm: 0.0000 0.0000 0.0658
Er: 0.0000 0.0000 0.1993
Al: 0.0000 0.0000 0.5000

***

Record 2
This entry pairs a crystal structure of TbPrHo2Se6 with its computed powder X-ray diffraction pattern. Radiation: Cu Ka. Structure: the PBE geometry in Alexandria.

Top 12 peaks for 10 to 80 degrees two-theta, low angle first:
d (Å)  two_theta  Rel. int.
5.298  16.7  44
3.858  23.1  61
3.644  24.4  42
3.178  28.1  61
2.649  33.8  43
2.425  37.1  100
2.143  42.2  37
2.104  43.0  65
1.862  48.9  32
1.589  58.0  25
1.510  61.4  15
1.268  74.9  22

Atomic structure:
Lattice parameters (Å, degrees): 7.2878 7.2878 19.4964 90.00 90.00 120.00
Space group R3 (No. 146, hexagonal axes)
Asymmetric unit:
Tb: 0.0000 0.0000 0.0000
Pr: 0.0000 0.0000 0.5056
Ho: 0.0000 0.0000 0.3055
Ho: 0.0000 0.0000 0.8021
Se: 0.0073 0.3107 0.3993
Se: 0.0237 0.6428 0.5664